(1)
# Ce2HfGa3Pt4
Theoretical X-ray diffraction stick pattern, Cu Kα X-rays. Input: a cell relaxed with GGA-PBE.
No peak broadening, texture or thermal motion is included.

Atomic structure:
```
Ce2HfGa3Pt4
1.0
4.1756 0.0000 0.0000
0.0000 4.1756 0.0000
0.0000 0.0000 11.3494
Ce Hf Ga Pt
2 1 3 4
Direct
0.0000 0.5000 0.2377 Ce
0.5000 0.0000 0.7623 Ce
0.0000 0.0000 0.5000 Hf
0.0000 0.5000 0.8702 Ga
0.5000 0.0000 0.1298 Ga
0.5000 0.5000 0.5000 Ga
0.0000 0.0000 0.0000 Pt
0.0000 0.5000 0.6486 Pt
0.5000 0.0000 0.3514 Pt
0.5000 0.5000 0.0000 Pt
```

Top 12 peaks for 10 to 80 degrees two-theta, low angle first:
2θ/deg, d (Å), I_rel
15.62, 5.675, 9
22.69, 3.919, 8
26.50, 3.363, 14
31.92, 2.804, 29
34.23, 2.619, 100
43.34, 2.088, 51
44.27, 2.046, 32
45.48, 1.994, 25
54.82, 1.675, 12
62.96, 1.476, 17
64.63, 1.442, 18
73.66, 1.286, 22


(2)
# LiBi2BO5
Theoretical X-ray diffraction stick pattern, Cu Kα X-rays. Input: a cell relaxed with GGA-PBE.
No peak broadening, texture or thermal motion is included.

Atomic structure:
```
LiBi2BO5
1.0
5.8780 0.0000 0.0000
0.0000 6.8550 0.0000
0.0000 0.0000 11.5327
Li Bi B O
4 8 4 20
Direct
0.2325 0.2500 0.1554 Li
0.2675 0.7500 0.6554 Li
0.7325 0.2500 0.3446 Li
0.7675 0.7500 0.8446 Li
0.2377 0.0025 0.3982 Bi
0.2377 0.4975 0.3982 Bi
0.2623 0.5025 0.8982 Bi
0.2623 0.9975 0.8982 Bi
0.7377 0.0025 0.1018 Bi
0.7377 0.4975 0.1018 Bi
0.7623 0.5025 0.6018 Bi
0.7623 0.9975 0.6018 Bi
0.2188 0.7500 0.1338 B
0.2812 0.2500 0.6338 B
0.7188 0.7500 0.3662 B
0.7812 0.2500 0.8662 B
0.0044 0.7500 0.5501 O
0.1051 0.7500 0.8099 O
0.1352 0.2500 0.7244 O
0.1400 0.5727 0.0837 O
0.1400 0.9273 0.0837 O
0.3600 0.0727 0.5837 O
0.3600 0.4273 0.5837 O
0.3648 0.7500 0.2244 O
0.3949 0.2500 0.3099 O
0.4956 0.2500 0.0501 O
0.5044 0.7500 0.9499 O
0.6051 0.7500 0.6901 O
0.6352 0.2500 0.7756 O
0.6400 0.5727 0.4163 O
0.6400 0.9273 0.4163 O
0.8600 0.0727 0.9163 O
0.8600 0.4273 0.9163 O
0.8648 0.7500 0.2756 O
0.8949 0.2500 0.1901 O
0.9956 0.2500 0.4499 O
```

Top 12 peaks for 10 to 80 degrees two-theta, low angle first:
2θ/deg, d (Å), I_rel
21.59, 4.116, 100
26.00, 3.427, 34
30.40, 2.940, 36
31.02, 2.883, 20
34.04, 2.634, 78
40.43, 2.231, 28
40.90, 2.206, 21
44.00, 2.058, 16
49.11, 1.855, 14
51.81, 1.764, 17
56.40, 1.632, 21
58.32, 1.582, 17


(3)
# Cs2InIBr3
Theoretical X-ray diffraction stick pattern, Cu Kα X-rays. Input: a cell relaxed with GGA-PBE.
No peak broadening, texture or thermal motion is included.

Atomic structure:
```
Cs2InIBr3
1.0
-2.8816 2.9971 9.2706
2.8816 -2.9971 9.2706
2.8816 2.9971 -9.2706
Cs In I Br
2 1 1 3
Direct
0.1461 0.1461 0.0000 Cs
0.8539 0.8539 0.0000 Cs
0.5000 0.5000 0.0000 In
0.0000 0.5000 0.5000 I
0.3396 0.3396 0.0000 Br
0.5000 0.0000 0.5000 Br
0.6604 0.6604 0.0000 Br
```

Top 12 peaks for 10 to 80 degrees two-theta, low angle first:
2θ/deg, d (Å), I_rel
21.08, 4.215, 21
21.39, 4.154, 41
23.47, 3.791, 31
28.87, 3.092, 100
29.81, 2.997, 45
31.04, 2.882, 40
36.23, 2.479, 12
42.00, 2.151, 28
42.91, 2.107, 26
43.57, 2.077, 31
53.13, 1.724, 27
54.17, 1.693, 13